# Cs2PtS2
Calculated powder XRD pattern, Cu Kα X-rays. Input: a PBE-relaxed structure.
No peak broadening, texture or thermal motion is included.

Most intense lines, 2θ = 10–90°, by angle:
| index | 2theta | I_rel |
| --- | --- | --- |
| 1 1 0 | 14.43 | 24 |
| 0 0 1 | 23.96 | 51 |
| 2 0 0 | 24.14 | 33 |
| 2 1 0 | 25.46 | 22 |
| 1 3 0 | 27.00 | 100 |
| 2 0 1 | 34.27 | 46 |
| 1 3 1 | 36.41 | 81 |
| 3 3 1 | 50.96 | 15 |
| 0 6 1 | 55.62 | 28 |
| 1 3 2 | 56.89 | 25 |

Atomic structure:
```
data_Cs2PtS2
_chemical_formula_sum 'Cs4 Pt2 S4'
_cell_length_a 7.374
_cell_length_b 11.080
_cell_length_c 3.713
_cell_angle_alpha 90.00
_cell_angle_beta 90.00
_cell_angle_gamma 90.00
_space_group_name_H-M_alt 'P 1'
_space_group_IT_number 1
loop_
_space_group_symop_operation_xyz
'x,y,z'
loop_
_atom_site_label
_atom_site_type_symbol
_atom_site_fract_x
_atom_site_fract_y
_atom_site_fract_z
Cs1 Cs 0.068 0.171 0.000
Cs2 Cs 0.432 0.671 0.000
Cs3 Cs 0.568 0.329 0.000
Cs4 Cs 0.932 0.829 0.000
Pt1 Pt 0.000 0.500 0.000
Pt2 Pt 0.500 0.000 0.000
S1 S 0.186 0.441 0.500
S2 S 0.314 0.941 0.500
S3 S 0.686 0.059 0.500
S4 S 0.814 0.559 0.500
```